No. 1
For Ta2O5, a DFT-relaxed cell (GGA-PBE, Alexandria) gives the calculated powder diffractogram in this record (Cu Kα X-rays).

Principal peaks in the range 10° ≤ 2θ ≤ 90°, low angle first:
24.29°, I = 100
26.40°, I = 43
28.31°, I = 52
29.84°, I = 70
32.86°, I = 36
34.90°, I = 50
46.79°, I = 25
49.89°, I = 27
53.13°, I = 24
54.00°, I = 25

Crystal structure
```
data_Ta2O5
_symmetry_space_group_name_H-M 'P 1'
_symmetry_Int_Tables_number 1
_cell_length_a 6.929
_cell_length_b 6.929
_cell_length_c 5.599
_cell_angle_alpha 102.30
_cell_angle_beta 102.30
_cell_angle_gamma 41.67
loop_
_symmetry_equiv_pos_as_xyz
'x,y,z'
loop_
_atom_site_label
_atom_site_fract_x
_atom_site_fract_y
_atom_site_fract_z
Ta1 0.105 0.613 0.731
Ta2 0.387 0.895 0.769
Ta3 0.613 0.105 0.231
Ta4 0.895 0.387 0.269
O1 0.109 0.891 0.750
O2 0.136 0.273 0.628
O3 0.273 0.136 0.128
O4 0.338 0.438 0.017
O5 0.438 0.338 0.517
O6 0.562 0.662 0.483
O7 0.662 0.562 0.983
O8 0.727 0.864 0.872
O9 0.864 0.727 0.372
O10 0.891 0.109 0.250
```

No. 2
For Ta11O2, a DFT-relaxed cell (GGA-PBE, Alexandria) gives the calculated powder diffractogram in this record (Cu Kα X-rays).

Principal peaks in the range 10° ≤ 2θ ≤ 90°, low angle first:
37.02°, I = 100
38.80°, I = 25
39.23°, I = 25
50.22°, I = 9
56.33°, I = 9
56.40°, I = 9
69.06°, I = 8
69.11°, I = 8
69.65°, I = 16
78.83°, I = 9

Crystal structure
```
data_Ta11O2
_symmetry_space_group_name_H-M 'P 1'
_symmetry_Int_Tables_number 1
_cell_length_a 7.493
_cell_length_b 7.499
_cell_length_c 8.179
_cell_angle_alpha 103.35
_cell_angle_beta 96.44
_cell_angle_gamma 104.42
loop_
_symmetry_equiv_pos_as_xyz
'x,y,z'
loop_
_atom_site_label
_atom_site_fract_x
_atom_site_fract_y
_atom_site_fract_z
Ta1 0.000 0.000 0.000
Ta2 0.014 0.708 0.447
Ta3 0.081 0.363 0.908
Ta4 0.130 0.056 0.364
Ta5 0.180 0.729 0.822
Ta6 0.221 0.424 0.276
Ta7 0.284 0.081 0.748
Ta8 0.301 0.785 0.180
Ta9 0.386 0.440 0.656
Ta10 0.407 0.144 0.099
Ta11 0.419 0.836 0.529
Ta12 0.471 0.524 0.001
Ta13 0.540 0.187 0.455
Ta14 0.588 0.872 0.910
Ta15 0.629 0.550 0.370
Ta16 0.679 0.232 0.823
Ta17 0.713 0.912 0.276
Ta18 0.790 0.589 0.748
Ta19 0.836 0.258 0.188
Ta20 0.851 0.964 0.638
Ta21 0.898 0.641 0.097
Ta22 0.931 0.345 0.534
O1 0.108 0.214 0.640
O2 0.204 0.571 0.546
O3 0.601 0.707 0.635
O4 0.653 0.394 0.100
```

No. 3
For Ta4O, a DFT-relaxed cell (GGA-PBE, Alexandria) gives the calculated powder diffractogram in this record (Cu Kα X-rays).

Principal peaks in the range 10° ≤ 2θ ≤ 90°, low angle first:
36.21°, I = 100
42.05°, I = 54
60.98°, I = 36
73.02°, I = 40
76.84°, I = 12

Crystal structure
```
data_Ta4O
_symmetry_space_group_name_H-M 'P 1'
_symmetry_Int_Tables_number 1
_cell_length_a 4.297
_cell_length_b 4.297
_cell_length_c 4.297
_cell_angle_alpha 90.00
_cell_angle_beta 90.00
_cell_angle_gamma 90.00
loop_
_symmetry_equiv_pos_as_xyz
'x,y,z'
loop_
_atom_site_label
_atom_site_fract_x
_atom_site_fract_y
_atom_site_fract_z
Ta1 0.000 0.000 0.000
Ta2 0.000 0.500 0.500
Ta3 0.500 0.000 0.500
Ta4 0.500 0.500 0.000
O1 0.500 0.500 0.500
```

No. 4
For Ta2O5, a DFT-relaxed cell (GGA-PBE, Alexandria) gives the calculated powder diffractogram in this record (Cu Kα X-rays).

Principal peaks in the range 10° ≤ 2θ ≤ 90°, low angle first:
22.94°, I = 86
27.96°, I = 100
28.69°, I = 42
36.47°, I = 68
37.05°, I = 31
46.88°, I = 19
50.37°, I = 21
55.47°, I = 30
56.04°, I = 25
63.00°, I = 16

Crystal structure
```
data_Ta2O5
_symmetry_space_group_name_H-M 'P 1'
_symmetry_Int_Tables_number 1
_cell_length_a 7.434
_cell_length_b 3.876
_cell_length_c 6.224
_cell_angle_alpha 90.00
_cell_angle_beta 90.00
_cell_angle_gamma 90.00
loop_
_symmetry_equiv_pos_as_xyz
'x,y,z'
loop_
_atom_site_label
_atom_site_fract_x
_atom_site_fract_y
_atom_site_fract_z
Ta1 0.000 0.000 0.000
Ta2 0.250 0.000 0.468
Ta3 0.500 0.000 0.000
Ta4 0.750 0.000 0.532
O1 0.000 0.500 0.000
O2 0.065 0.000 0.688
O3 0.250 0.000 0.124
O4 0.250 0.500 0.435
O5 0.435 0.000 0.688
O6 0.500 0.500 0.000
O7 0.565 0.000 0.312
O8 0.750 0.000 0.876
O9 0.750 0.500 0.565
O10 0.935 0.000 0.312
```

No. 5
For Tb3TaO7, a DFT-relaxed cell (GGA-PBE, Alexandria) gives the calculated powder diffractogram in this record (Cu Kα X-rays).

Principal peaks in the range 10° ≤ 2θ ≤ 90°, low angle first:
28.83°, I = 100
29.17°, I = 99
33.52°, I = 48
33.80°, I = 23
47.69°, I = 12
48.34°, I = 54
48.56°, I = 16
56.89°, I = 23
57.46°, I = 40
57.64°, I = 13

Crystal structure
```
data_Tb3TaO7
_symmetry_space_group_name_H-M 'P 1'
_symmetry_Int_Tables_number 1
_cell_length_a 6.533
_cell_length_b 6.533
_cell_length_c 7.499
_cell_angle_alpha 90.00
_cell_angle_beta 90.00
_cell_angle_gamma 108.57
loop_
_symmetry_equiv_pos_as_xyz
'x,y,z'
loop_
_atom_site_label
_atom_site_fract_x
_atom_site_fract_y
_atom_site_fract_z
Tb1 0.035 0.500 0.260
Tb2 0.038 0.038 0.000
Tb3 0.500 0.035 0.740
Tb4 0.500 0.965 0.240
Tb5 0.962 0.962 0.500
Tb6 0.965 0.500 0.760
Ta1 0.498 0.498 0.500
Ta2 0.502 0.502 0.000
O1 0.129 0.871 0.750
O2 0.140 0.860 0.250
O3 0.172 0.417 0.977
O4 0.195 0.453 0.545
O5 0.417 0.172 0.023
O6 0.433 0.567 0.250
O7 0.453 0.195 0.455
O8 0.547 0.805 0.955
O9 0.567 0.433 0.750
O10 0.583 0.828 0.523
O11 0.805 0.547 0.045
O12 0.828 0.583 0.477
O13 0.860 0.140 0.750
O14 0.871 0.129 0.250
```

No. 6
For Tb4Ta6O19, a DFT-relaxed cell (GGA-PBE, Alexandria) gives the calculated powder diffractogram in this record (Cu Kα X-rays).

Principal peaks in the range 10° ≤ 2θ ≤ 90°, low angle first:
19.42°, I = 24
23.84°, I = 43
30.93°, I = 100
33.97°, I = 18
36.79°, I = 60
48.81°, I = 16
50.94°, I = 59
55.02°, I = 18
60.80°, I = 27
69.78°, I = 15

Crystal structure
```
data_Tb4Ta6O19
_symmetry_space_group_name_H-M 'P 1'
_symmetry_Int_Tables_number 1
_cell_length_a 7.917
_cell_length_b 7.917
_cell_length_c 7.917
_cell_angle_alpha 109.47
_cell_angle_beta 109.47
_cell_angle_gamma 109.47
loop_
_symmetry_equiv_pos_as_xyz
'x,y,z'
loop_
_atom_site_label
_atom_site_fract_x
_atom_site_fract_y
_atom_site_fract_z
Tb1 0.000 0.000 0.288
Tb2 0.000 0.288 0.000
Tb3 0.288 0.000 0.000
Tb4 0.712 0.712 0.712
Ta1 0.153 0.500 0.653
Ta2 0.347 0.847 0.500
Ta3 0.500 0.347 0.847
Ta4 0.500 0.653 0.153
Ta5 0.653 0.153 0.500
Ta6 0.847 0.500 0.347
O1 0.000 0.000 0.000
O2 0.000 0.328 0.328
O3 0.000 0.672 0.672
O4 0.035 0.754 0.364
O5 0.246 0.282 0.610
O6 0.282 0.610 0.246
O7 0.328 0.000 0.328
O8 0.328 0.328 0.000
O9 0.329 0.718 0.965
O10 0.364 0.035 0.754
O11 0.390 0.671 0.636
O12 0.610 0.246 0.282
O13 0.636 0.390 0.671
O14 0.671 0.636 0.390
O15 0.672 0.000 0.672
O16 0.672 0.672 0.000
O17 0.718 0.965 0.329
O18 0.754 0.364 0.035
O19 0.965 0.329 0.718
```